Entry 1:
LiV4O5F7: calculated X-ray powder pattern (Cu Ka), based on a DFT-relaxed cell (PBE+U, the Materials Project).
Intensities are scaled so that the largest is 100.

Atomic structure:
```
LiV4O5F7
1.0
5.0909 0.0000 0.0000
2.4432 4.7767 0.0000
2.3466 1.6609 8.5943
Li V O F
1 4 5 7
Cartesian
0.0000 0.0000 0.0000 Li
2.5639 2.2697 5.4826 V
5.1018 3.7157 7.6143 V
5.0191 3.7462 1.2827 V
7.3164 5.4042 3.3373 V
3.8408 3.1190 6.2166 O
3.6528 2.9199 0.4800 O
3.5751 1.4816 4.0261 O
6.4190 2.8086 7.0292 O
6.4957 4.7018 1.7679 O
3.9307 4.4286 2.7613 F
5.3799 5.4139 6.6371 F
1.9416 0.6412 0.1690 F
5.5719 2.1465 2.2835 F
6.9765 3.7389 4.3821 F
6.1102 1.2270 4.8370 F
8.5684 4.8379 8.3052 F
```

Main lines, by intensity (10 to 90 degrees two-theta):
two_theta, d/Å, intensity
23.27, 3.823, 100
23.77, 3.744, 99
24.44, 3.641, 98
33.46, 2.678, 33
47.57, 1.912, 24
48.64, 1.872, 19
50.10, 1.821, 18
54.89, 1.673, 17
32.86, 2.726, 15
53.53, 1.712, 13

=====

Entry 2:
LuScFe2O6: calculated X-ray powder pattern (Cu Ka), based on a DFT-relaxed cell (PBE+U, the Materials Project).
Intensities are scaled so that the largest is 100.

Atomic structure:
```
LuScFe2O6
1.0
5.9505 0.0000 0.0000
-2.9752 5.1533 0.0000
0.0000 0.0000 11.6892
Lu Sc Fe O
3 3 6 18
Cartesian
0.0000 0.0000 11.6884 Lu
0.0000 0.0000 5.8476 Lu
0.0000 3.4355 0.0000 Lu
0.0000 3.4355 5.8546 Sc
2.9752 1.7178 0.4695 Sc
2.9752 1.7178 6.3097 Sc
1.9941 0.0056 8.9500 Fe
1.0014 1.7261 3.1291 Fe
3.9549 0.0042 3.1291 Fe
1.9830 3.4236 8.9500 Fe
4.9486 1.7241 8.9500 Fe
3.9693 3.4230 3.1291 Fe
0.0000 0.0000 3.3936 O
0.0000 0.0000 9.1865 O
-1.9309 3.5325 1.1812 O
-0.8596 1.7536 7.0050 O
0.8814 1.7148 1.1812 O
-1.0268 5.0209 7.0050 O
0.0000 3.4355 3.3434 O
0.0000 3.4355 9.2253 O
1.1629 1.7704 5.0983 O
2.0839 0.1789 10.9157 O
3.8358 0.1219 5.0983 O
1.8864 3.5320 7.0050 O
2.9752 1.7178 2.8214 O
2.9752 1.7178 8.6170 O
2.0882 3.2591 10.9157 O
1.0495 5.0592 1.1812 O
4.7536 1.7152 10.9157 O
3.9270 3.2609 5.0983 O
```

Main lines, by intensity (10 to 90 degrees two-theta):
two_theta, d/Å, intensity
33.81, 2.651, 100
31.02, 2.883, 48
53.33, 1.718, 45
30.59, 2.922, 43
43.40, 2.085, 34
30.03, 2.975, 34
23.01, 3.865, 32
62.74, 1.481, 32
56.46, 1.630, 29
17.21, 5.153, 25

=====

Entry 3:
VH10S2N2O8: calculated X-ray powder pattern (Cu Ka), based on a DFT-relaxed cell (PBE+U, the Materials Project).
Intensities are scaled so that the largest is 100.

Atomic structure:
```
VH10S2N2O8
1.0
7.5077 0.0000 0.0000
0.0000 7.3480 0.0000
-6.0003 0.0000 8.3097
V H S N O
2 20 4 4 16
Cartesian
0.0000 0.0000 0.0000 V
-3.0002 3.6740 4.1549 V
-1.6986 0.7715 4.5067 H
1.3016 2.9025 0.3519 H
1.2577 5.3127 1.1736 H
-1.7425 5.7093 5.3284 H
-0.8156 4.9232 4.3709 H
2.1845 6.0989 0.2160 H
-2.8627 4.6635 7.4177 H
0.1375 6.3586 3.2629 H
-1.0271 0.4719 5.9080 H
1.9731 3.2021 1.7531 H
-0.4657 4.1459 6.5566 H
2.5344 6.8761 2.4017 H
1.3699 0.9895 5.0468 H
4.3700 2.6845 0.8920 H
-0.6772 1.2492 8.0937 H
2.3230 2.4248 3.9388 H
3.2498 1.6387 2.9813 H
0.2497 2.0353 7.1361 H
0.2058 4.4455 7.9578 H
3.2060 6.5765 3.8030 H
-4.2450 1.3491 6.2068 S
-1.2448 2.3249 2.0519 S
2.7522 5.0231 6.2578 S
5.7523 5.9989 2.1029 S
-4.7373 1.3176 7.6691 N
-1.7371 2.3564 3.5142 N
3.2445 4.9916 4.7955 N
6.2447 6.0304 0.6406 N
-0.4062 1.0467 1.7822 O
-3.4063 2.6273 5.9371 O
-0.2710 5.4994 3.0088 O
-3.2712 5.5226 7.1637 O
-1.4671 4.7547 5.1327 O
1.5330 6.2674 0.9779 O
-1.4497 0.0426 5.1309 O
1.5505 3.6314 0.9760 O
-0.0431 3.7167 7.3337 O
2.9570 7.3054 3.1788 O
-0.0257 1.0806 7.3319 O
2.9745 2.5934 3.1770 O
4.7785 1.8254 1.1460 O
1.7783 1.8486 5.3009 O
4.9137 4.7207 2.3727 O
1.9135 6.3013 6.5275 O
```

Main lines, by intensity (10 to 90 degrees two-theta):
two_theta, d/Å, intensity
14.55, 6.087, 100
30.00, 2.979, 40
17.02, 5.210, 27
16.10, 5.505, 21
31.83, 2.812, 13
25.69, 3.468, 13
32.53, 2.752, 13
46.46, 1.955, 12
27.44, 3.250, 12
44.66, 2.029, 11

=====

Entry 4:
Li9Mn2Co5O16: calculated X-ray powder pattern (Cu Ka), based on a DFT-relaxed cell (PBE+U, the Materials Project).
Intensities are scaled so that the largest is 100.

Atomic structure:
```
Li9Mn2Co5O16
1.0
5.1633 -5.7736 0.0000
5.1633 5.7736 0.0000
-1.8499 0.0000 4.7858
Li Mn Co O
9 2 5 16
Cartesian
0.0000 0.0000 0.0000 Li
0.6936 1.4257 4.7773 Li
1.5988 -0.0146 2.3306 Li
0.6776 -1.4329 4.7852 Li
1.6957 -2.8948 2.3721 Li
7.7831 1.4257 0.0085 Li
6.8779 -0.0145 2.4551 Li
7.7991 -1.4329 0.0006 Li
6.7810 -2.8948 2.4137 Li
5.1633 -0.0084 0.0000 Mn
4.2383 -4.3346 2.3929 Mn
4.2383 4.3767 2.3929 Co
5.1633 2.9058 0.0000 Co
4.2383 1.4529 2.3929 Co
4.2383 -1.4596 2.3929 Co
5.1633 -2.9177 0.0000 Co
2.6512 4.1800 3.6068 O
-0.1097 0.0609 3.4600 O
3.5841 2.8669 1.1322 O
5.8255 4.1800 1.1790 O
2.6207 1.4783 3.6798 O
4.8926 2.8669 3.6536 O
3.3937 -0.0054 1.3193 O
5.8560 1.4783 1.1059 O
2.5920 -1.4623 3.6812 O
5.0830 -0.0054 3.4665 O
3.4497 -2.9245 1.3086 O
5.8847 -1.4623 1.1046 O
2.6737 -4.2496 3.5753 O
5.0270 -2.9245 3.4772 O
8.5864 0.0609 1.3257 O
5.8030 -4.2496 1.2105 O
```

Main lines, by intensity (10 to 90 degrees two-theta):
two_theta, d/Å, intensity
18.42, 4.816, 100
44.19, 2.050, 53
42.59, 2.123, 30
36.34, 2.472, 26
35.36, 2.538, 15
63.22, 1.471, 15
62.88, 1.478, 15
37.65, 2.389, 12
58.26, 1.584, 10
47.56, 1.912, 9